[1]
Starting from a GGA-PBE-relaxed structure, the X-ray diffraction stick pattern of NaDyPd6O8 was computed for CuKα.
Neutral-atom scattering factors, no anomalous dispersion.

Structural model:
abc: 5.830 5.830 5.830
angles: 90.00 90.00 90.00
Space group Pm-3 (No. 200)
Asymmetric unit:
Na 0.000 0.000 0.000 x1
Dy 0.500 0.500 0.500 x1
Pd 0.000 0.249 0.500 x6
O 0.260 0.260 0.260 x8

The 8 most intense peaks (10 to 90 degrees two-theta), sorted by position:
hkl 1 0 0, d 5.830, intensity 18
hkl 2 0 1, d 2.607, intensity 100
hkl 2 1 1, d 2.380, intensity 61
hkl 2 2 2, d 1.683, intensity 14
hkl 3 2 0, d 1.617, intensity 24
hkl 3 1 2, d 1.558, intensity 32
hkl 4 0 0, d 1.457, intensity 17
hkl 4 1 2, d 1.272, intensity 20

[2]
Starting from a GGA-PBE-relaxed structure, the X-ray diffraction stick pattern of NbCr3Ag2S8 was computed for CuKα.
Neutral-atom scattering factors, no anomalous dispersion.

Structural model:
abc: 6.521 7.693 12.277
angles: 97.84 94.60 90.65
Space group P-1 (No. 2)
Asymmetric unit:
Nb 0.148 0.207 0.304 x2
Cr 0.245 0.390 0.998 x2
Cr 0.362 0.057 0.706 x2
Cr 0.363 0.548 0.705 x2
Ag 0.119 0.701 0.298 x2
Ag 0.258 0.874 0.000 x2
S 0.090 0.635 0.093 x2
S 0.126 0.175 0.117 x2
S 0.196 0.789 0.643 x2
S 0.229 0.283 0.633 x2
S 0.327 0.462 0.375 x2
S 0.328 0.975 0.369 x2
S 0.370 0.119 0.888 x2
S 0.419 0.577 0.891 x2

The 8 most intense peaks (10 to 90 degrees two-theta), sorted by position:
hkl 0 0 3, d 4.040, intensity 100
hkl 1 -2 1, d 3.272, intensity 31
hkl 2 0 0, d 3.252, intensity 35
hkl -1 2 1, d 3.140, intensity 32
hkl 2 0 1, d 3.077, intensity 63
hkl 1 2 2, d 2.694, intensity 28
hkl 0 4 -1, d 1.923, intensity 28
hkl 3 -2 0, d 1.902, intensity 27

[3]
Starting from a GGA-PBE-relaxed structure, the X-ray diffraction stick pattern of TbOF was computed for CuKα.
Neutral-atom scattering factors, no anomalous dispersion.

Structural model:
abc: 8.265 4.401 4.498
angles: 90.00 97.35 90.00
Space group C2/m (No. 12)
Asymmetric unit:
Tb 0.155 0.000 0.268 x4
O 0.113 0.000 0.782 x4
F 0.111 0.500 0.348 x4

The 8 most intense peaks (10 to 90 degrees two-theta), sorted by position:
hkl 1 1 0, d 3.877, intensity 78
hkl 2 0 -1, d 3.231, intensity 75
hkl 1 1 -1, d 3.018, intensity 67
hkl 2 0 1, d 2.842, intensity 100
hkl 3 1 0, d 2.321, intensity 63
hkl 0 0 2, d 2.230, intensity 37
hkl 0 2 0, d 2.200, intensity 43
hkl 2 2 -1, d 1.819, intensity 29

[4]
Starting from a GGA-PBE-relaxed structure, the X-ray diffraction stick pattern of Li2BiBO4 was computed for CuKα.
Neutral-atom scattering factors, no anomalous dispersion.

Structural model:
abc: 10.505 6.672 4.939
angles: 90.00 90.00 90.00
Space group Pnma (No. 62)
Asymmetric unit:
Li 0.083 0.001 0.183 x8
Bi 0.171 0.250 0.694 x4
B 0.154 0.750 0.671 x4
O 0.097 0.570 0.795 x8
O 0.134 0.750 0.365 x4
O 0.199 0.250 0.208 x4

The 8 most intense peaks (10 to 90 degrees two-theta), sorted by position:
hkl 2 0 0, d 5.252, intensity 46
hkl 2 1 0, d 4.127, intensity 80
hkl 0 1 1, d 3.970, intensity 100
hkl 2 0 1, d 3.598, intensity 84
hkl 0 2 0, d 3.336, intensity 57
hkl 2 1 1, d 3.167, intensity 38
hkl 2 2 0, d 2.816, intensity 32
hkl 4 1 0, d 2.445, intensity 84